1.
# NaIn2SnF6
Computed X-ray diffraction stick pattern, Cu Kα (weighted mean of Kα1 and Kα2). Input: a DFT-relaxed cell (PBE, Alexandria).

Most intense lines, 2θ from 10° to 90°, low angle first:
- 2θ = 16.3°, I = 43
- 2θ = 18.0°, I = 23
- 2θ = 21.1°, I = 32
- 2θ = 24.9°, I = 76
- 2θ = 26.6°, I = 45
- 2θ = 29.1°, I = 100
- 2θ = 30.9°, I = 50
- 2θ = 31.3°, I = 30
- 2θ = 36.5°, I = 38
- 2θ = 43.5°, I = 31
- 2θ = 48.1°, I = 23
- 2θ = 49.5°, I = 25

Structure:
```
NaIn2SnF6
1.0
5.8427 0.0000 0.0000
1.9132 5.5841 0.0000
0.0459 2.8965 5.4437
Na In Sn F
1 2 1 6
Direct
0.0000 0.0000 0.0000
0.3810 0.3821 0.7495
0.8368 0.4380 0.2403
0.4985 0.9291 0.5210
0.0193 0.4405 0.8521
0.1308 0.0001 0.3513
0.2845 0.3727 0.3930
0.3452 0.9750 0.8386
0.6053 0.1477 0.1314
0.7297 0.1092 0.6661
```

2.
# NaTiIn2F8
Computed X-ray diffraction stick pattern, Cu Kα (weighted mean of Kα1 and Kα2). Input: a DFT-relaxed cell (PBE, Alexandria).

Most intense lines, 2θ from 10° to 90°, low angle first:
- 2θ = 15.7°, I = 35
- 2θ = 16.0°, I = 36
- 2θ = 21.9°, I = 100
- 2θ = 23.1°, I = 97
- 2θ = 31.3°, I = 32
- 2θ = 31.8°, I = 59
- 2θ = 32.4°, I = 21
- 2θ = 34.8°, I = 23
- 2θ = 37.0°, I = 22
- 2θ = 44.7°, I = 32
- 2θ = 46.4°, I = 31
- 2θ = 56.0°, I = 22

Structure:
```
NaTiIn2F8
1.0
5.5418 0.0000 0.0000
0.3019 5.6308 0.0000
0.0865 0.1258 6.5658
Na Ti In F
1 1 2 8
Direct
0.0000 0.0000 0.0000
0.0000 0.0000 0.5000
0.4960 0.4953 0.2710
0.5040 0.5047 0.7290
0.1255 0.7916 0.2924
0.1458 0.8045 0.7126
0.2796 0.1694 0.4789
0.3446 0.3158 0.0037
0.6554 0.6842 0.9963
0.7204 0.8306 0.5211
0.8542 0.1955 0.2874
0.8745 0.2084 0.7076
```

3.
# NbInF5
Computed X-ray diffraction stick pattern, Cu Kα (weighted mean of Kα1 and Kα2). Input: a DFT-relaxed cell (PBE, Alexandria).

Most intense lines, 2θ from 10° to 90°, low angle first:
- 2θ = 21.1°, I = 59
- 2θ = 21.7°, I = 58
- 2θ = 26.7°, I = 100
- 2θ = 30.4°, I = 19
- 2θ = 40.6°, I = 27
- 2θ = 41.2°, I = 29
- 2θ = 42.9°, I = 13
- 2θ = 44.2°, I = 15
- 2θ = 44.5°, I = 12
- 2θ = 49.8°, I = 14
- 2θ = 51.8°, I = 14
- 2θ = 68.7°, I = 12

Structure:
```
NbInF5
1.0
-4.0684 4.0994 4.2120
4.0684 -4.0994 4.2120
4.0684 4.0994 -4.2120
Nb In F
2 2 10
Direct
0.5000 0.0000 0.0000
0.5000 0.5000 0.5000
0.0226 0.2726 0.7500
0.9774 0.7274 0.2500
0.2579 0.0000 0.7579
0.2579 0.5000 0.2579
0.2687 0.3169 0.5481
0.2687 0.7206 0.9519
0.4568 0.2068 0.2500
0.5432 0.7932 0.7500
0.7313 0.2794 0.0481
0.7313 0.6831 0.4519
0.7421 0.0000 0.2421
0.7421 0.5000 0.7421
```